Rb2FeNCl6: calculated powder diffraction line list (a wavelength of 1.5418 Å), based on the GGA-PBE geometry in Alexandria.

Crystal structure
```
data_Rb2FeNCl6
_chemical_formula_sum 'Rb4 Fe2 N2 Cl12'
_cell_length_a 7.6433
_cell_length_b 7.6433
_cell_length_c 9.0939
_cell_angle_alpha 90.00
_cell_angle_beta 90.00
_cell_angle_gamma 90.00
_symmetry_space_group_name_H-M 'I 4/m m m'
_symmetry_Int_Tables_number 139
_symmetry_space_group_name_Hall '-I 4 2'
loop_
_atom_site_label
_atom_site_type_symbol
_atom_site_fract_x
_atom_site_fract_y
_atom_site_fract_z
Rb1 Rb 0.0000 0.5000 0.2500
Fe1 Fe 0.0000 0.0000 0.0000
N1 N 0.0000 0.0000 0.5000
Cl1 Cl 0.0000 0.0000 0.2774
Cl2 Cl 0.2087 0.2087 0.0000
```

Main lines, in order of rising 2θ (2θ from 15° to 90°):
d 5.851, 2θ 15.1, rel. 322, (1 0 1)
d 3.822, 2θ 23.3, rel. 428, (2 0 0)
d 3.479, 2θ 25.6, rel. 640, (1 1 2)
d 2.926, 2θ 30.6, rel. 1000, (2 0 2)
d 2.702, 2θ 33.2, rel. 842, (2 2 0)
d 2.273, 2θ 39.6, rel. 268, (0 0 4)
d 2.134, 2θ 42.3, rel. 222, (3 1 2)
d 1.911, 2θ 47.6, rel. 234, (4 0 0)
d 1.739, 2θ 52.6, rel. 494, (2 2 4)
d 1.600, 2θ 57.6, rel. 184, (4 2 2)



FeS3N2Cl5: calculated powder diffraction line list (a wavelength of 1.5418 Å), based on the GGA-PBE geometry in Alexandria.

Crystal structure
```
data_FeS3N2Cl5
_chemical_formula_sum 'Fe4 S12 N8 Cl20'
_cell_length_a 9.5827
_cell_length_b 11.0408
_cell_length_c 15.2142
_cell_angle_alpha 90.00
_cell_angle_beta 128.50
_cell_angle_gamma 90.00
_symmetry_space_group_name_H-M 'P 1 21/c 1'
_symmetry_Int_Tables_number 14
loop_
_symmetry_equiv_pos_as_xyz
'x,y,z'
'-x,-y,-z'
'-x,y+1/2,-z+1/2'
'x,-y+1/2,z+1/2'
loop_
_atom_site_label
_atom_site_type_symbol
_atom_site_fract_x
_atom_site_fract_y
_atom_site_fract_z
Fe1 Fe 0.2200 0.1337 0.1974
S1 S 0.1561 0.7449 0.6937
S2 S 0.3192 0.5378 0.3005
S3 S 0.3299 0.7342 0.8827
N1 N 0.2017 0.6172 0.1918
N2 N 0.3650 0.6252 0.4014
Cl1 Cl 0.0330 0.2158 0.6015
Cl2 Cl 0.1051 0.0091 0.2540
Cl3 Cl 0.2674 0.0289 0.0948
Cl4 Cl 0.4420 0.1482 0.5815
Cl5 Cl 0.4745 0.2091 0.3435
```

Main lines, in order of rising 2θ (2θ from 15° to 90°):
d 5.240, 2θ 16.9, rel. 623, (0 1 2)
d 5.008, 2θ 17.7, rel. 647, (0 2 1)
d 4.791, 2θ 18.5, rel. 1000, (2 0 -2)
d 3.717, 2θ 23.9, rel. 431, (2 0 -4)
d 3.519, 2θ 25.3, rel. 619, (2 1 -4)
d 3.469, 2θ 25.7, rel. 546, (2 2 -1)
d 3.068, 2θ 29.1, rel. 319, (3 1 -3)
d 2.974, 2θ 30.0, rel. 380, (1 3 -3)
d 2.958, 2θ 30.2, rel. 427, (2 1 1)
d 2.833, 2θ 31.6, rel. 266, (2 3 -3)



FeS4N4Cl5: calculated powder diffraction line list (a wavelength of 1.5418 Å), based on the GGA-PBE geometry in Alexandria.

Crystal structure
```
data_FeS4N4Cl5
_chemical_formula_sum 'Fe2 S8 N8 Cl10'
_cell_length_a 7.3932
_cell_length_b 9.5370
_cell_length_c 10.5934
_cell_angle_alpha 78.76
_cell_angle_beta 84.91
_cell_angle_gamma 79.60
_symmetry_space_group_name_H-M 'P -1'
_symmetry_Int_Tables_number 2
loop_
_symmetry_equiv_pos_as_xyz
'x,y,z'
'-x,-y,-z'
loop_
_atom_site_label
_atom_site_type_symbol
_atom_site_fract_x
_atom_site_fract_y
_atom_site_fract_z
Fe1 Fe 0.0588 0.3148 0.2752
S1 S 0.0768 0.8962 0.1924
S2 S 0.3414 0.7061 0.0378
S3 S 0.3717 0.8311 0.3789
S4 S 0.4748 0.5443 0.2968
N1 N 0.1738 0.8844 0.3219
N2 N 0.1826 0.8265 0.0801
N3 N 0.4334 0.6596 0.3892
N4 N 0.4430 0.5934 0.1507
Cl1 Cl 0.0134 0.4530 0.7087
Cl2 Cl 0.1927 0.2872 0.0851
Cl3 Cl 0.1984 0.7782 0.7049
Cl4 Cl 0.2496 0.2030 0.4253
Cl5 Cl 0.4438 0.0833 0.7794
```

Main lines, in order of rising 2θ (2θ from 15° to 90°):
d 5.799, 2θ 15.3, rel. 331, (1 0 -1)
d 5.187, 2θ 17.1, rel. 465, (0 0 2)
d 4.980, 2θ 17.8, rel. 317, (1 1 -1)
d 4.841, 2θ 18.3, rel. 159, (-1 1 1)
d 4.604, 2θ 19.3, rel. 365, (0 2 0)
d 3.589, 2θ 24.8, rel. 215, (2 1 0)
d 3.111, 2θ 28.7, rel. 1000, (0 3 1)
d 3.071, 2θ 29.1, rel. 169, (-2 1 1)
d 3.056, 2θ 29.2, rel. 531, (2 0 2)
d 2.812, 2θ 31.8, rel. 136, (0 3 -1)



Na2FeCl5: calculated powder diffraction line list (a wavelength of 1.5418 Å), based on the GGA-PBE geometry in Alexandria.

Crystal structure
```
data_Na2FeCl5
_chemical_formula_sum 'Na8 Fe4 Cl20'
_cell_length_a 11.2950
_cell_length_b 11.6374
_cell_length_c 8.2210
_cell_angle_alpha 90.00
_cell_angle_beta 90.00
_cell_angle_gamma 90.00
_symmetry_space_group_name_H-M 'P n n m'
_symmetry_Int_Tables_number 58
loop_
_symmetry_equiv_pos_as_xyz
'x,y,z'
'-x,-y,-z'
'-x,-y,z'
'x,y,-z'
'x+1/2,-y+1/2,-z+1/2'
'-x+1/2,y+1/2,z+1/2'
'-x+1/2,y+1/2,-z+1/2'
'x+1/2,-y+1/2,z+1/2'
loop_
_atom_site_label
_atom_site_type_symbol
_atom_site_fract_x
_atom_site_fract_y
_atom_site_fract_z
Na1 Na 0.0000 0.0000 0.2201
Na2 Na 0.1280 0.3463 0.0000
Fe1 Fe 0.2484 0.2375 0.5000
Cl1 Cl 0.0711 0.1548 0.5000
Cl2 Cl 0.1086 0.1267 0.0000
Cl3 Cl 0.1185 0.5958 0.0000
Cl4 Cl 0.2262 0.8474 0.2166
```

Main lines, in order of rising 2θ (2θ from 15° to 90°):
d 5.819, 2θ 15.2, rel. 263, (0 2 0)
d 5.772, 2θ 15.4, rel. 1000, (1 1 1)
d 5.647, 2θ 15.7, rel. 276, (2 0 0)
d 4.110, 2θ 21.6, rel. 260, (0 0 2)
d 4.053, 2θ 21.9, rel. 454, (2 2 0)
d 3.354, 2θ 26.6, rel. 248, (0 2 2)
d 3.218, 2θ 27.7, rel. 675, (1 2 2)
d 3.196, 2θ 27.9, rel. 215, (2 1 2)
d 3.161, 2θ 28.2, rel. 404, (3 2 0)
d 2.189, 2θ 41.2, rel. 369, (2 4 2)



NaFeCl6: calculated powder diffraction line list (a wavelength of 1.5418 Å), based on the GGA-PBE geometry in Alexandria.

Crystal structure
```
data_NaFeCl6
_chemical_formula_sum 'Na1 Fe1 Cl6'
_cell_length_a 6.3253
_cell_length_b 6.3304
_cell_length_c 6.8057
_cell_angle_alpha 90.06
_cell_angle_beta 117.60
_cell_angle_gamma 119.96
_symmetry_space_group_name_H-M 'P -1'
_symmetry_Int_Tables_number 2
loop_
_symmetry_equiv_pos_as_xyz
'x,y,z'
'-x,-y,-z'
loop_
_atom_site_label
_atom_site_type_symbol
_atom_site_fract_x
_atom_site_fract_y
_atom_site_fract_z
Na1 Na 0.0000 0.0000 0.0000
Fe1 Fe 0.0000 0.5000 0.5000
Cl1 Cl 0.1617 0.4694 0.2764
Cl2 Cl 0.1929 0.3087 0.7242
Cl3 Cl 0.4147 0.8843 0.7241
```

Main lines, in order of rising 2θ (2θ from 15° to 90°):
d 5.748, 2θ 15.4, rel. 215, (0 0 1)
d 5.224, 2θ 17.0, rel. 635, (0 1 0)
d 4.626, 2θ 19.2, rel. 537, (0 1 -1)
d 3.389, 2θ 26.3, rel. 315, (0 1 1)
d 2.772, 2θ 32.3, rel. 1000, (-2 1 2)
d 2.612, 2θ 34.3, rel. 183, (2 0 -2)
d 2.128, 2θ 42.5, rel. 554, (1 1 1)
d 2.014, 2θ 45.0, rel. 177, (2 1 -1)
d 1.827, 2θ 49.9, rel. 238, (-3 3 1)
d 1.639, 2θ 56.1, rel. 172, (2 -1 2)



NaFeCl14: calculated powder diffraction line list (a wavelength of 1.5418 Å), based on the GGA-PBE geometry in Alexandria.

Crystal structure
```
data_NaFeCl14
_chemical_formula_sum 'Na1 Fe1 Cl14'
_cell_length_a 7.4652
_cell_length_b 8.1922
_cell_length_c 10.4983
_cell_angle_alpha 97.83
_cell_angle_beta 102.90
_cell_angle_gamma 99.78
_symmetry_space_group_name_H-M 'P 1'
_symmetry_Int_Tables_number 1
loop_
_symmetry_equiv_pos_as_xyz
'x,y,z'
loop_
_atom_site_label
_atom_site_type_symbol
_atom_site_fract_x
_atom_site_fract_y
_atom_site_fract_z
Na1 Na 0.0000 0.0000 0.0000
Fe1 Fe 0.4630 0.9420 0.8536
Cl1 Cl 0.0779 0.3750 0.5513
Cl2 Cl 0.1522 0.7601 0.1235
Cl3 Cl 0.2630 0.1239 0.8598
Cl4 Cl 0.2764 0.8049 0.6690
Cl5 Cl 0.3115 0.2893 0.1139
Cl6 Cl 0.3319 0.4067 0.3041
Cl7 Cl 0.3708 0.7809 0.9947
Cl8 Cl 0.6037 0.1938 0.6323
Cl9 Cl 0.6212 0.4372 0.7061
Cl10 Cl 0.6836 0.1367 0.9981
Cl11 Cl 0.6868 0.8059 0.8134
Cl12 Cl 0.6919 0.6205 0.3237
Cl13 Cl 0.9450 0.7584 0.3253
Cl14 Cl 0.9962 0.1351 0.4539
```

Main lines, in order of rising 2θ (2θ from 15° to 90°):
d 5.747, 2θ 15.4, rel. 1000, (0 1 1)
d 5.298, 2θ 16.7, rel. 305, (-1 1 1)
d 5.223, 2θ 17.0, rel. 823, (1 0 1)
d 4.960, 2θ 17.9, rel. 376, (1 -1 1)
d 4.707, 2θ 18.9, rel. 337, (1 0 -2)
d 4.648, 2θ 19.1, rel. 688, (0 1 -2)
d 3.706, 2θ 24.0, rel. 494, (1 -1 2)
d 3.528, 2θ 25.2, rel. 340, (-2 1 1)
d 3.210, 2θ 27.8, rel. 354, (1 1 -3)
d 3.080, 2θ 29.0, rel. 410, (1 1 2)



NaTlFe2Cl6: calculated powder diffraction line list (a wavelength of 1.5418 Å), based on the GGA-PBE geometry in Alexandria.

Crystal structure
```
data_NaTlFe2Cl6
_chemical_formula_sum 'Na4 Tl4 Fe8 Cl24'
_cell_length_a 13.4492
_cell_length_b 12.1146
_cell_length_c 7.2313
_cell_angle_alpha 90.00
_cell_angle_beta 105.67
_cell_angle_gamma 90.00
_symmetry_space_group_name_H-M 'C 1 2/c 1'
_symmetry_Int_Tables_number 15
loop_
_symmetry_equiv_pos_as_xyz
'x,y,z'
'-x,-y,-z'
'-x,y,-z+1/2'
'x,-y,z+1/2'
'x+1/2,y+1/2,z'
'-x+1/2,-y+1/2,-z'
'-x+1/2,y+1/2,-z+1/2'
'x+1/2,-y+1/2,z+1/2'
loop_
_atom_site_label
_atom_site_type_symbol
_atom_site_fract_x
_atom_site_fract_y
_atom_site_fract_z
Na1 Na 0.0000 0.0954 0.2500
Tl1 Tl 0.0000 0.3039 0.7500
Fe1 Fe 0.2128 0.4103 0.2696
Cl1 Cl 0.1113 0.0862 0.6415
Cl2 Cl 0.1437 0.4673 0.5176
Cl3 Cl 0.1448 0.2432 0.1660
```

Main lines, in order of rising 2θ (2θ from 15° to 90°):
d 5.038, 2θ 17.6, rel. 512, (1 1 1)
d 4.423, 2θ 20.1, rel. 595, (2 2 0)
d 4.091, 2θ 21.7, rel. 826, (2 2 -1)
d 3.980, 2θ 22.3, rel. 871, (3 1 -1)
d 3.486, 2θ 25.6, rel. 820, (0 0 2)
d 3.457, 2θ 25.8, rel. 558, (2 2 1)
d 3.177, 2θ 28.1, rel. 541, (3 1 1)
d 2.949, 2θ 30.3, rel. 309, (3 3 0)
d 2.775, 2θ 32.3, rel. 1000, (0 4 1)
d 2.231, 2θ 40.4, rel. 462, (2 2 -3)



Nd7FeCl12: calculated powder diffraction line list (a wavelength of 1.5418 Å), based on the GGA-PBE geometry in Alexandria.

Crystal structure
```
data_Nd7FeCl12
_chemical_formula_sum 'Nd21 Fe3 Cl36'
_cell_length_a 14.7339
_cell_length_b 14.7339
_cell_length_c 10.4706
_cell_angle_alpha 90.00
_cell_angle_beta 90.00
_cell_angle_gamma 120.00
_symmetry_space_group_name_H-M 'R -3'
_symmetry_Int_Tables_number 148
_symmetry_space_group_name_Hall '-R 3'
loop_
_atom_site_label
_atom_site_type_symbol
_atom_site_fract_x
_atom_site_fract_y
_atom_site_fract_z
Nd1 Nd 0.0000 0.0000 0.0000
Nd2 Nd 0.0364 0.8706 0.3559
Fe1 Fe 0.0000 0.0000 0.5000
Cl1 Cl 0.0250 0.4464 0.1564
Cl2 Cl 0.0384 0.8767 0.8349
```

Main lines, in order of rising 2θ (2θ from 15° to 90°):
d 4.380, 2θ 20.3, rel. 201, (2 1 1)
d 3.547, 2θ 25.1, rel. 171, (3 -2 2)
d 3.353, 2θ 26.6, rel. 198, (1 3 1)
d 2.932, 2θ 30.5, rel. 1000, (4 -1 2)
d 2.555, 2θ 35.1, rel. 193, (5 -3 2)
d 2.105, 2θ 43.0, rel. 348, (1 3 4)
d 2.043, 2θ 44.3, rel. 319, (5 2 0)
d 1.676, 2θ 54.8, rel. 149, (2 6 2)
d 1.327, 2θ 71.0, rel. 128, (5 2 6)
d 1.296, 2θ 73.0, rel. 130, (9 1 2)



FeNiSn2Cl: calculated powder diffraction line list (a wavelength of 1.5418 Å), based on the GGA-PBE geometry in Alexandria.

Crystal structure
```
data_FeNiSn2Cl
_chemical_formula_sum 'Fe1 Ni1 Sn2 Cl1'
_cell_length_a 5.0147
_cell_length_b 5.0147
_cell_length_c 4.4757
_cell_angle_alpha 90.00
_cell_angle_beta 90.00
_cell_angle_gamma 90.00
_symmetry_space_group_name_H-M 'P 4/m m m'
_symmetry_Int_Tables_number 123
_symmetry_space_group_name_Hall '-P 4 2'
loop_
_atom_site_label
_atom_site_type_symbol
_atom_site_fract_x
_atom_site_fract_y
_atom_site_fract_z
Fe1 Fe 0.0000 0.0000 0.0000
Ni1 Ni 0.5000 0.5000 0.5000
Sn1 Sn 0.0000 0.5000 0.5000
Cl1 Cl 0.5000 0.5000 0.0000
```

Main lines, in order of rising 2θ (2θ from 15° to 90°):
d 4.476, 2θ 19.8, rel. 482, (0 0 1)
d 3.339, 2θ 26.7, rel. 171, (1 0 1)
d 2.779, 2θ 32.2, rel. 1000, (1 1 1)
d 2.507, 2θ 35.8, rel. 822, (2 0 0)
d 2.238, 2θ 40.3, rel. 307, (0 0 2)
d 2.187, 2θ 41.3, rel. 320, (2 0 1)
d 1.773, 2θ 51.5, rel. 285, (2 2 0)
d 1.670, 2θ 55.0, rel. 470, (2 0 2)
d 1.495, 2θ 62.1, rel. 306, (3 1 1)
d 1.390, 2θ 67.4, rel. 255, (2 2 2)



What did the sixth record say?
NaFeCl14: calculated powder diffraction line list (a wavelength of 1.5418 Å), based on the GGA-PBE geometry in Alexandria.

Crystal structure
```
data_NaFeCl14
_chemical_formula_sum 'Na1 Fe1 Cl14'
_cell_length_a 7.4652
_cell_length_b 8.1922
_cell_length_c 10.4983
_cell_angle_alpha 97.83
_cell_angle_beta 102.90
_cell_angle_gamma 99.78
_symmetry_space_group_name_H-M 'P 1'
_symmetry_Int_Tables_number 1
loop_
_symmetry_equiv_pos_as_xyz
'x,y,z'
loop_
_atom_site_label
_atom_site_type_symbol
_atom_site_fract_x
_atom_site_fract_y
_atom_site_fract_z
Na1 Na 0.0000 0.0000 0.0000
Fe1 Fe 0.4630 0.9420 0.8536
Cl1 Cl 0.0779 0.3750 0.5513
Cl2 Cl 0.1522 0.7601 0.1235
Cl3 Cl 0.2630 0.1239 0.8598
Cl4 Cl 0.2764 0.8049 0.6690
Cl5 Cl 0.3115 0.2893 0.1139
Cl6 Cl 0.3319 0.4067 0.3041
Cl7 Cl 0.3708 0.7809 0.9947
Cl8 Cl 0.6037 0.1938 0.6323
Cl9 Cl 0.6212 0.4372 0.7061
Cl10 Cl 0.6836 0.1367 0.9981
Cl11 Cl 0.6868 0.8059 0.8134
Cl12 Cl 0.6919 0.6205 0.3237
Cl13 Cl 0.9450 0.7584 0.3253
Cl14 Cl 0.9962 0.1351 0.4539
```

Main lines, in order of rising 2θ (2θ from 15° to 90°):
d 5.747, 2θ 15.4, rel. 1000, (0 1 1)
d 5.298, 2θ 16.7, rel. 305, (-1 1 1)
d 5.223, 2θ 17.0, rel. 823, (1 0 1)
d 4.960, 2θ 17.9, rel. 376, (1 -1 1)
d 4.707, 2θ 18.9, rel. 337, (1 0 -2)
d 4.648, 2θ 19.1, rel. 688, (0 1 -2)
d 3.706, 2θ 24.0, rel. 494, (1 -1 2)
d 3.528, 2θ 25.2, rel. 340, (-2 1 1)
d 3.210, 2θ 27.8, rel. 354, (1 1 -3)
d 3.080, 2θ 29.0, rel. 410, (1 1 2)